This entry pairs a crystal structure of CsV2Pb2O7 with its computed PXRD pattern. Radiation: copper Kα. Structure: a crystal structure in Alexandria, relaxed with PBE+U.
Peak positions follow from Bragg's law for the DFT cell and can differ from measured ones.

a b c (Å): 6.0410 6.0410 25.7440
angles (deg): 90.00 90.00 120.00
Space group R32 (No. 155, hexagonal axes)
One atom of each set of equivalent atoms:
Cs (0.0000, 0.0000, 0.0000)
V (0.0000, 0.0000, 0.4293)
Pb (0.0000, 0.0000, 0.2110)
O (0.0000, 0.0000, 0.5000)
O (0.0202, 0.4465, 0.0756)

The 6 most intense peaks (10 to 80 degrees two-theta), low angle first:
2θ (°)  I/Imax
21.9  470
24.3  1000
29.6  685
38.6  221
43.6  341
49.4  276